# 1
The following is a theoretical powder diffraction line list of Rb3YSb2O8. It was derived from a DFT-relaxed cell (PBE, Alexandria), using Cu Kα (weighted mean of Kα1 and Kα2).
Neutral-atom scattering factors, no anomalous dispersion.

Cell: 6.2402 6.2402 8.1023 Å, 90.00 90.00 120.00°
Atoms (fractional coordinates):
Rb1 0.0000 0.0000 0.0000
Rb2 0.3333 0.6667 0.6838
Rb3 0.6667 0.3333 0.3162
Y1 0.0000 0.0000 0.5000
Sb1 0.3333 0.6667 0.2417
Sb2 0.6667 0.3333 0.7583
O1 0.1698 0.3395 0.3338
O2 0.1698 0.8302 0.3338
O3 0.3333 0.6667 0.0113
O4 0.3395 0.1698 0.6662
O5 0.6605 0.8302 0.3338
O6 0.6667 0.3333 0.9887
O7 0.8302 0.1698 0.6662
O8 0.8302 0.6605 0.6662

The 12 most intense peaks (2θ = 15–90°), in order of rising 2θ:
Position (°2θ)	intensity
19.75	15
27.52	77
28.61	100
37.22	8
40.11	40
50.01	29
50.68	20
53.97	18
59.23	17
66.52	13
69.88	8
81.65	10


# 2
The following is a theoretical powder diffraction line list of RbZrSb2O. It was derived from a DFT-relaxed cell (PBE, Alexandria), using Cu Kα (weighted mean of Kα1 and Kα2).
Neutral-atom scattering factors, no anomalous dispersion.

Cell: 5.8380 5.8380 5.2058 Å, 90.00 90.00 90.00°
Atoms (fractional coordinates):
Rb1 0.0000 0.0000 0.0000
Zr1 0.0000 0.0000 0.5000
Sb1 0.0000 0.5000 0.0000
Sb2 0.5000 0.0000 0.0000
O1 0.5000 0.5000 0.5000

The 12 most intense peaks (2θ = 15–90°), in order of rising 2θ:
Position (°2θ)	intensity
15.18	75
17.03	51
27.58	96
30.63	100
34.35	20
34.46	36
35.25	34
43.86	36
46.75	64
52.60	31
56.93	38
82.70	25


# 3
The following is a theoretical powder diffraction line list of Rb3ZrSb2O9. It was derived from a DFT-relaxed cell (PBE, Alexandria), using Cu Kα (weighted mean of Kα1 and Kα2).
Neutral-atom scattering factors, no anomalous dispersion.

Cell: 5.8527 5.8527 7.1709 Å, 90.00 90.00 120.00°
Atoms (fractional coordinates):
Rb1 0.0000 0.0000 0.0000
Rb2 0.3333 0.6667 0.6665
Rb3 0.6667 0.3333 0.3335
Zr1 0.0000 0.0000 0.5000
Sb1 0.3333 0.6667 0.1669
Sb2 0.6667 0.3333 0.8331
O1 0.0000 0.5000 0.0000
O2 0.1710 0.3419 0.3262
O3 0.1710 0.8290 0.3262
O4 0.3419 0.1710 0.6738
O5 0.5000 0.0000 0.0000
O6 0.5000 0.5000 0.0000
O7 0.6581 0.8290 0.3262
O8 0.8290 0.1710 0.6738
O9 0.8290 0.6581 0.6738

The 12 most intense peaks (2θ = 15–90°), in order of rising 2θ:
Position (°2θ)	intensity
17.50	1
21.47	7
30.54	100
37.64	1
43.74	33
49.23	3
54.29	39
63.58	20
67.94	1
72.17	17
80.36	7
88.36	21


# 4
The following is a theoretical powder diffraction line list of Rb5Sc2O6. It was derived from a DFT-relaxed cell (PBE, Alexandria), using Cu Kα (weighted mean of Kα1 and Kα2).
Neutral-atom scattering factors, no anomalous dispersion.

Cell: 6.8604 6.8604 15.1080 Å, 98.59 98.59 64.91°
Atoms (fractional coordinates):
Rb1 0.1136 0.8864 0.7500
Rb2 0.1831 0.7142 0.0012
Rb3 0.2679 0.4313 0.2878
Rb4 0.2858 0.8169 0.4988
Rb5 0.4313 0.2679 0.7878
Rb6 0.5687 0.7321 0.2122
Rb7 0.7142 0.1831 0.5012
Rb8 0.7321 0.5687 0.7122
Rb9 0.8169 0.2858 0.9988
Rb10 0.8864 0.1136 0.2500
Sc1 0.1520 0.3992 0.5745
Sc2 0.3992 0.1520 0.0745
Sc3 0.6008 0.8480 0.9255
Sc4 0.8480 0.6008 0.4255
O1 0.1112 0.1983 0.6431
O2 0.1225 0.3245 0.4395
O3 0.1983 0.1112 0.1431
O4 0.3245 0.1225 0.9395
O5 0.3972 0.4716 0.6225
O6 0.4716 0.3972 0.1225
O7 0.5284 0.6028 0.8775
O8 0.6028 0.5284 0.3775
O9 0.6755 0.8775 0.0605
O10 0.8017 0.8888 0.8569
O11 0.8775 0.6755 0.5605
O12 0.8888 0.8017 0.3569

The 12 most intense peaks (2θ = 15–90°), in order of rising 2θ:
Position (°2θ)	intensity
23.94	51
24.92	40
26.40	41
26.77	31
27.03	71
27.24	33
28.01	100
29.58	93
30.24	66
30.96	58
35.95	27
43.73	49


# 5
The following is a theoretical powder diffraction line list of Rb5ScO4. It was derived from a DFT-relaxed cell (PBE, Alexandria), using Cu Kα (weighted mean of Kα1 and Kα2).
Neutral-atom scattering factors, no anomalous dispersion.

Cell: 8.2734 8.9655 6.6300 Å, 90.00 90.00 90.00°
Atoms (fractional coordinates):
Rb1 0.0132 0.0604 0.2393
Rb2 0.0132 0.4396 0.2393
Rb3 0.2500 0.7500 0.3419
Rb4 0.4868 0.0604 0.2393
Rb5 0.4868 0.4396 0.2393
Rb6 0.5132 0.5604 0.7607
Rb7 0.5132 0.9396 0.7607
Rb8 0.7500 0.2500 0.6581
Rb9 0.9868 0.5604 0.7607
Rb10 0.9868 0.9396 0.7607
Sc1 0.2500 0.2500 0.7101
Sc2 0.7500 0.7500 0.2899
O1 0.0417 0.2500 0.8730
O2 0.2500 0.0577 0.5451
O3 0.2500 0.4423 0.5451
O4 0.4583 0.2500 0.8730
O5 0.5417 0.7500 0.1270
O6 0.7500 0.5577 0.4549
O7 0.7500 0.9423 0.4549
O8 0.9583 0.7500 0.1270

The 12 most intense peaks (2θ = 15–90°), in order of rising 2θ:
Position (°2θ)	intensity
21.48	31
25.38	19
26.90	65
27.29	83
29.38	71
32.87	100
34.68	41
39.61	29
40.25	70
43.77	28
55.80	37
57.73	37


# 6
The following is a theoretical powder diffraction line list of RbScO2. It was derived from a DFT-relaxed cell (PBE, Alexandria), using Cu Kα (weighted mean of Kα1 and Kα2).
Neutral-atom scattering factors, no anomalous dispersion.

Cell: 6.8223 6.8223 13.4054 Å, 97.00 97.00 90.00°
Atoms (fractional coordinates):
Rb1 0.1570 0.7793 0.6199
Rb2 0.2207 0.8430 0.8801
Rb3 0.2224 0.3466 0.8956
Rb4 0.3466 0.2224 0.3956
Rb5 0.6534 0.7776 0.6044
Rb6 0.7776 0.6534 0.1044
Rb7 0.7793 0.1570 0.1199
Rb8 0.8430 0.2207 0.3801
Sc1 0.0877 0.7117 0.3429
Sc2 0.2883 0.9123 0.1571
Sc3 0.2888 0.4195 0.1591
Sc4 0.4195 0.2888 0.6591
Sc5 0.5805 0.7112 0.3409
Sc6 0.7112 0.5805 0.8409
Sc7 0.7117 0.0877 0.8429
Sc8 0.9123 0.2883 0.6571
O1 0.0798 0.4566 0.2515
O2 0.0797 0.9203 0.2500
O3 0.1481 0.2687 0.5804
O4 0.2670 0.6447 0.0741
O5 0.2687 0.1481 0.0804
O6 0.3553 0.7330 0.4259
O7 0.4559 0.5441 0.7500
O8 0.4566 0.0798 0.7515
O9 0.5434 0.9202 0.2485
O10 0.5441 0.4559 0.2500
O11 0.6447 0.2670 0.5741
O12 0.7313 0.8519 0.9196
O13 0.7330 0.3553 0.9259
O14 0.8519 0.7313 0.4196
O15 0.9203 0.0797 0.7500
O16 0.9202 0.5434 0.7485

The 12 most intense peaks (2θ = 15–90°), in order of rising 2θ:
Position (°2θ)	intensity
26.34	100
27.01	58
29.33	63
29.71	43
35.38	67
35.58	67
42.75	15
48.43	13
53.74	41
60.82	19
62.50	19
65.87	15


# 7
The following is a theoretical powder diffraction line list of RbScO2. It was derived from a DFT-relaxed cell (PBE, Alexandria), using Cu Kα (weighted mean of Kα1 and Kα2).
Neutral-atom scattering factors, no anomalous dispersion.

Cell: 6.2610 8.3703 6.1319 Å, 90.00 90.00 90.00°
Atoms (fractional coordinates):
Rb1 0.0593 0.1226 0.0000
Rb2 0.4407 0.6226 0.5000
Rb3 0.5593 0.3774 0.0000
Rb4 0.9407 0.8774 0.5000
Sc1 0.0500 0.6260 0.9853
Sc2 0.4500 0.1260 0.4853
Sc3 0.5500 0.8740 0.9853
Sc4 0.9500 0.3740 0.4853
O1 0.0211 0.5605 0.6744
O2 0.1461 0.1890 0.5372
O3 0.3539 0.6890 0.0372
O4 0.4789 0.0605 0.1744
O5 0.5211 0.9395 0.6744
O6 0.6461 0.3110 0.5372
O7 0.8539 0.8110 0.0372
O8 0.9789 0.4395 0.1744

The 12 most intense peaks (2θ = 15–90°), in order of rising 2θ:
Position (°2θ)	intensity
25.60	19
28.51	28
29.13	39
29.52	100
32.10	15
41.21	12
43.24	11
48.76	14
51.88	25
52.98	12
57.81	14
70.89	11


# 8
The following is a theoretical powder diffraction line list of Rb2Sc3O6. It was derived from a DFT-relaxed cell (PBE, Alexandria), using Cu Kα (weighted mean of Kα1 and Kα2).
Neutral-atom scattering factors, no anomalous dispersion.

Cell: 5.6072 5.6072 6.8325 Å, 97.84 97.84 120.01°
Atoms (fractional coordinates):
Rb1 0.1667 0.8333 0.0000
Rb2 0.8333 0.1667 0.0000
Sc1 0.0000 0.0000 0.5000
Sc2 0.3357 0.6643 0.5000
Sc3 0.6643 0.3357 0.5000
O1 0.0494 0.3866 0.6602
O2 0.2764 0.2764 0.3396
O3 0.3866 0.0494 0.6602
O4 0.6134 0.9506 0.3398
O5 0.7236 0.7236 0.6604
O6 0.9506 0.6134 0.3398

The 12 most intense peaks (2θ = 15–90°), in order of rising 2θ:
Position (°2θ)	intensity
18.82	19
20.39	16
22.77	12
27.13	36
33.22	41
36.88	100
49.22	28
56.89	27
57.11	19
64.14	18
69.75	13
75.54	10


# 9
The following is a theoretical powder diffraction line list of RbSrScO3. It was derived from a DFT-relaxed cell (PBE, Alexandria), using Cu Kα (weighted mean of Kα1 and Kα2).
Neutral-atom scattering factors, no anomalous dispersion.

Cell: 6.8787 6.8787 8.6155 Å, 101.28 101.28 32.59°
Atoms (fractional coordinates):
Rb1 0.2335 0.2335 0.1529
Rb2 0.7665 0.7665 0.8471
Sr1 0.1344 0.1344 0.5136
Sr2 0.8656 0.8656 0.4864
Sc1 0.4819 0.4819 0.8186
Sc2 0.5181 0.5181 0.1814
O1 0.0163 0.0163 0.7191
O2 0.3333 0.3333 0.6294
O3 0.3986 0.3986 0.9883
O4 0.6014 0.6014 0.0117
O5 0.6667 0.6667 0.3706
O6 0.9837 0.9837 0.2809

The 12 most intense peaks (2θ = 15–90°), in order of rising 2θ:
Position (°2θ)	intensity
26.88	65
27.47	26
31.10	27
31.23	100
31.60	33
31.83	37
34.29	30
35.31	29
41.77	20
47.08	28
48.25	26
54.12	25


# 10
The following is a theoretical powder diffraction line list of RbSc3Te4O12. It was derived from a DFT-relaxed cell (PBE, Alexandria), using Cu Kα (weighted mean of Kα1 and Kα2).
Neutral-atom scattering factors, no anomalous dispersion.

Cell: 7.0907 7.0907 7.0907 Å, 104.07 104.07 104.07°
Atoms (fractional coordinates):
Rb1 0.0000 0.0000 0.0000
Sc1 0.0000 0.5762 0.4238
Sc2 0.4238 0.0000 0.5762
Sc3 0.5762 0.4238 0.0000
Te1 0.0964 0.5000 0.9036
Te2 0.5000 0.5000 0.5000
Te3 0.5000 0.9036 0.0964
Te4 0.9036 0.0964 0.5000
O1 0.0698 0.3038 0.4023
O2 0.0755 0.9245 0.5000
O3 0.3038 0.4023 0.0698
O4 0.3134 0.6866 0.5000
O5 0.4023 0.0698 0.3038
O6 0.5000 0.0755 0.9245
O7 0.5000 0.3134 0.6866
O8 0.5977 0.6962 0.9302
O9 0.6866 0.5000 0.3134
O10 0.6962 0.9302 0.5977
O11 0.9245 0.5000 0.0755
O12 0.9302 0.5977 0.6962

The 12 most intense peaks (2θ = 15–90°), in order of rising 2θ:
Position (°2θ)	intensity
15.85	26
26.37	39
27.38	100
27.64	46
31.80	23
34.52	31
34.93	37
45.26	24
45.75	35
51.56	30
59.63	23
64.05	17


# 11
The following is a theoretical powder diffraction line list of Rb3ScTe2O9. It was derived from a DFT-relaxed cell (PBE, Alexandria), using Cu Kα (weighted mean of Kα1 and Kα2).
Neutral-atom scattering factors, no anomalous dispersion.

Cell: 5.8134 5.8134 7.1212 Å, 90.00 90.00 120.00°
Atoms (fractional coordinates):
Rb1 0.0000 0.0000 0.0000
Rb2 0.3333 0.6667 0.6660
Rb3 0.6667 0.3333 0.3340
Sc1 0.0000 0.0000 0.5000
Te1 0.3333 0.6667 0.1746
Te2 0.6667 0.3333 0.8254
O1 0.0000 0.5000 0.0000
O2 0.1738 0.3476 0.3226
O3 0.1738 0.8262 0.3226
O4 0.3476 0.1738 0.6774
O5 0.5000 0.0000 0.0000
O6 0.5000 0.5000 0.0000
O7 0.6524 0.8262 0.3226
O8 0.8262 0.1738 0.6774
O9 0.8262 0.6524 0.6774

The 12 most intense peaks (2θ = 15–90°), in order of rising 2θ:
Position (°2θ)	intensity
17.62	5
21.62	8
30.76	100
37.91	3
40.04	2
44.06	34
49.59	2
54.69	40
64.07	21
72.74	17
81.03	7
89.12	21